ZrCuGe: theoretical powder diffractogram (Cu Kα X-rays), based on a crystal structure in OQMD, relaxed with GGA-PBE.

Largest 12 diffraction maxima, by angle, 15 to 90 degrees two-theta:
hkl 1 1 2, 2θ = 35.6°, intensity 593; hkl 2 0 2, 2θ = 36.3°, intensity 275; hkl 2 1 1, 2θ = 37.4°, intensity 1000; hkl 1 0 3, 2θ = 38.6°, intensity 162; hkl 0 1 3, 2θ = 42.8°, intensity 751; hkl 0 2 0, 2θ = 45.5°, intensity 414; hkl 4 0 0, 2θ = 55.7°, intensity 93; hkl 2 2 2, 2θ = 59.6°, intensity 124; hkl 3 2 1, 2θ = 64.3°, intensity 136; hkl 3 1 4, 2θ = 70.1°, intensity 206; hkl 2 3 1, 2θ = 78.7°, intensity 107; hkl 0 3 3, 2θ = 82.3°, intensity 96

```
ZrCuGe
1.0
6.600 0.000 0.000
0.000 3.984 0.000
0.000 0.000 7.482
Zr Cu Ge
4 4 4
Cartesian
0.095 0.996 1.424 Zr
3.205 2.988 5.165 Zr
3.395 0.996 2.318 Zr
6.505 2.988 6.059 Zr
1.073 0.996 4.286 Cu
2.227 2.988 0.544 Cu
4.373 0.996 6.938 Cu
5.527 2.988 3.197 Cu
1.484 2.988 2.941 Ge
1.816 0.996 6.683 Ge
4.784 2.988 0.800 Ge
5.116 0.996 4.541 Ge
```